Record 1
Starting from a DFT-relaxed cell (PBE, OQMD), the X-ray diffraction stick pattern of CsGdO3 was simulated for Cu Kα.
Kinematic intensities with the Lorentz-polarization factor, no thermal factor.

Largest 8 diffraction maxima, sorted by position, 10° ≤ 2θ ≤ 90°:
2θ/deg	d (Å)	Rel. int.
26.37	3.380	83
26.90	3.315	100
38.02	2.367	36
47.19	1.926	37
47.51	1.914	21
55.44	1.657	19
56.79	1.621	20
62.40	1.488	15

Structural model:
```
CsGdO3
1.0
3.3148 1.9138 5.5754
-3.3148 1.9138 5.5754
0.0000 -3.8276 5.5754
Cs Gd O
2 2 6
direct
0.1200 0.1200 0.1200
0.8800 0.8800 0.8800
0.3464 0.3464 0.3464
0.6536 0.6536 0.6536
0.0494 0.5643 0.5948
0.4052 0.9506 0.4357
0.4357 0.4052 0.9506
0.5643 0.5948 0.0494
0.5948 0.0494 0.5643
0.9506 0.4357 0.4052
```



Record 2
Starting from a DFT-relaxed cell (PBE, OQMD), the X-ray diffraction stick pattern of Cs3GdP2O8 was simulated for Cu Kα.
Kinematic intensities with the Lorentz-polarization factor, no thermal factor.

Largest 8 diffraction maxima, sorted by position, 10° ≤ 2θ ≤ 90°:
2θ/deg	d (Å)	Rel. int.
19.65	4.517	32
24.71	3.603	34
26.89	3.316	41
27.37	3.259	100
27.50	3.243	67
28.75	3.105	33
29.19	3.059	59
29.71	3.007	79

Structural model:
```
Cs3GdP2O8
1.0
10.2423 0.0000 0.0000
0.0000 10.3607 0.0000
-3.2037 0.0000 10.0075
Cs Gd P O
12 4 8 32
direct
0.0095 0.0000 0.2912
0.0321 0.3509 0.1639
0.2737 0.0608 0.0639
0.2800 0.4811 0.5198
0.3330 0.6005 0.9564
0.4789 0.9026 0.7208
0.5211 0.4026 0.2792
0.6670 0.1005 0.0436
0.7200 0.9811 0.4802
0.7263 0.5608 0.9361
0.9679 0.8509 0.8361
0.9905 0.5000 0.7088
0.1590 0.1488 0.6655
0.3415 0.7910 0.3336
0.6585 0.2910 0.6664
0.8410 0.6488 0.3345
0.0972 0.6680 0.1420
0.1339 0.7996 0.5801
0.3613 0.1393 0.4210
0.4006 0.2805 0.8525
0.5994 0.7805 0.1475
0.6387 0.6393 0.5790
0.8661 0.2996 0.4199
0.9028 0.1680 0.8580
0.0140 0.2549 0.4981
0.0242 0.1517 0.7991
0.0558 0.6119 0.0003
0.1194 0.9382 0.6331
0.1404 0.8139 0.1466
0.2000 0.7086 0.6967
0.2193 0.8055 0.4805
0.2288 0.5999 0.2366
0.2668 0.3464 0.7614
0.2767 0.1284 0.5190
0.2909 0.2265 0.3020
0.3681 0.1317 0.8350
0.3838 0.0015 0.3709
0.4352 0.3204 0.9991
0.4767 0.8106 0.2013
0.4942 0.6935 0.5013
0.5058 0.1935 0.4987
0.5233 0.3106 0.7987
0.5648 0.8204 0.0009
0.6162 0.5015 0.6291
0.6319 0.6317 0.1650
0.7091 0.7265 0.6980
0.7233 0.6284 0.4810
0.7332 0.8464 0.2386
0.7712 0.0999 0.7634
0.7807 0.3055 0.5195
0.8000 0.2086 0.3033
0.8596 0.3139 0.8534
0.8806 0.4382 0.3669
0.9442 0.1119 0.9997
0.9758 0.6517 0.2009
0.9860 0.7549 0.5019
```



Record 3
Starting from a DFT-relaxed cell (PBE, OQMD), the X-ray diffraction stick pattern of Cs2Gd2P was simulated for Cu Kα.
Kinematic intensities with the Lorentz-polarization factor, no thermal factor.

Largest 8 diffraction maxima, sorted by position, 10° ≤ 2θ ≤ 90°:
2θ/deg	d (Å)	Rel. int.
19.95	4.450	38
21.41	4.150	38
26.88	3.317	41
28.46	3.137	100
28.72	3.108	78
30.55	2.926	85
33.78	2.653	98
57.06	1.614	34

Structural model:
```
Cs2Gd2P
1.0
-3.3168 3.3168 8.8992
3.3168 -3.3168 8.8992
3.3168 3.3168 -8.8992
Cs Gd P
4 4 2
direct
0.0623 0.3123 0.7500
0.3123 0.0623 0.2500
0.6877 0.9377 0.7500
0.9377 0.6877 0.2500
0.0000 0.5000 0.5000
0.5000 0.0000 0.0000
0.5000 0.5000 0.0000
0.5000 0.5000 0.5000
0.1250 0.8750 0.2500
0.8750 0.1250 0.7500
```



Record 4
Starting from a DFT-relaxed cell (PBE, OQMD), the X-ray diffraction stick pattern of CsRbGd2P2 was simulated for Cu Kα.
Kinematic intensities with the Lorentz-polarization factor, no thermal factor.

Largest 8 diffraction maxima, sorted by position, 10° ≤ 2θ ≤ 90°:
2θ/deg	d (Å)	Rel. int.
10.85	8.155	40
21.80	4.077	20
27.20	3.279	100
28.10	3.176	37
33.30	2.690	34
35.45	2.532	46
51.59	1.772	29
58.76	1.571	23

Structural model:
```
CsRbGd2P2
1.0
5.0639 0.0000 0.0000
0.0000 5.0639 0.0000
0.0000 0.0000 8.1545
Cs Rb Gd P
1 1 2 2
direct
0.0000 0.0000 0.0000
0.5000 0.5000 0.2458
0.0000 0.5000 0.6179
0.5000 0.0000 0.6179
0.0000 0.0000 0.4655
0.5000 0.5000 0.7825
```